Record 1
Calculated powder diffraction line list of Dy7Ni2Au2 for Cu Kα, 1.54184 Å, from a GGA-PBE-relaxed structure.

The 6 most intense peaks (10° ≤ 2θ ≤ 80°), sorted by position:
| d/Å | 2θ (°) | I_rel |
| --- | --- | --- |
| 3.136 | 28.5 | 421 |
| 3.022 | 29.6 | 512 |
| 2.910 | 30.7 | 382 |
| 2.709 | 33.1 | 673 |
| 2.373 | 37.9 | 394 |
| 2.320 | 38.8 | 1000 |

a b c (Å): 6.644 6.644 6.898
angles (deg): 90.00 90.00 109.28
Fractional positions:
Dy: 0.000 0.000 0.000
Dy: 0.000 0.500 0.253
Dy: 0.000 0.500 0.747
Dy: 0.500 0.000 0.253
Dy: 0.500 0.000 0.747
Dy: 0.500 0.500 0.247
Dy: 0.500 0.500 0.753
Ni: 0.293 0.707 0.000
Ni: 0.707 0.293 0.000
Au: 0.188 0.188 0.500
Au: 0.812 0.812 0.500

=====

Record 2
Calculated powder diffraction line list of DyAuO for Cu Kα, 1.54184 Å, from a GGA-PBE-relaxed structure.

The 6 most intense peaks (10° ≤ 2θ ≤ 80°), sorted by position:
| d/Å | 2θ (°) | I_rel |
| --- | --- | --- |
| 2.744 | 32.6 | 648 |
| 2.643 | 33.9 | 1000 |
| 2.045 | 44.3 | 127 |
| 1.941 | 46.8 | 287 |
| 1.810 | 50.4 | 114 |
| 1.564 | 59.1 | 412 |

a b c (Å): 3.881 3.881 7.221
angles (deg): 90.00 90.00 90.00
Fractional positions:
Dy: 0.250 0.250 0.155
Dy: 0.750 0.750 0.845
Au: 0.250 0.250 0.579
Au: 0.750 0.750 0.421
O: 0.250 0.750 0.000
O: 0.750 0.250 0.000